1.
This entry pairs a crystal structure of CeSiPd with its simulated powder X-ray diffraction pattern. Radiation: CuKα. Structure: a structure optimized by DFT (GGA-PBE).
Lines closer than 0.1° are merged.

Principal peaks in the range 5° ≤ 2θ ≤ 70°, sorted by position:
Position (°2θ)  I/Imax
28.9  34
31.3  74
32.8  100
33.5  45
33.8  34
34.6  88
36.9  89
37.7  83
42.0  84
49.0  31

Cell and atoms:
```
CeSiPd
1.0
10.695 0.000 0.000
0.000 5.817 0.000
-0.264 0.000 7.851
Ce Si Pd
8 8 8
direct
0.131 0.130 0.325
0.131 0.370 0.825
0.361 0.637 0.464
0.361 0.863 0.964
0.639 0.137 0.036
0.639 0.363 0.536
0.869 0.630 0.175
0.869 0.870 0.675
0.075 0.636 0.465
0.075 0.864 0.965
0.351 0.150 0.620
0.351 0.350 0.120
0.649 0.650 0.880
0.649 0.850 0.380
0.925 0.136 0.035
0.925 0.364 0.535
0.169 0.610 0.181
0.169 0.890 0.681
0.448 0.097 0.333
0.448 0.403 0.833
0.552 0.597 0.167
0.552 0.903 0.667
0.831 0.110 0.319
0.831 0.390 0.819
```

=====

2.
This entry pairs a crystal structure of Nb5Se4 with its simulated powder X-ray diffraction pattern. Radiation: CuKα. Structure: a structure optimized by DFT (GGA-PBE).
Lines closer than 0.1° are merged.

Principal peaks in the range 5° ≤ 2θ ≤ 70°, sorted by position:
Position (°2θ)  I/Imax
12.5  40
32.7  50
37.5  100
38.1  25
40.3  55
41.7  24
45.7  43
53.1  19
58.2  12
68.6  22

Cell and atoms:
```
Nb5Se4
1.0
-5.010 5.010 1.726
5.010 -5.010 1.726
5.010 5.010 -1.726
Nb Se
5 4
direct
0.000 0.000 0.000
0.303 0.375 0.679
0.375 0.697 0.072
0.625 0.303 0.928
0.697 0.625 0.321
0.059 0.281 0.340
0.281 0.941 0.222
0.719 0.059 0.778
0.941 0.719 0.660
```

=====

- What is the formula in the second record?
  Nb5Se4